# 1
Tm8Tl4PSe3: calculated powder XRD pattern (Cu Kα), based on the PBE geometry in Alexandria.

Top 10 peaks for 2θ from 10° to 90°, by intensity:
two_theta	I/Imax
30.63	100
40.75	39
46.79	22
32.74	16
57.06	11
46.91	11
63.78	11
26.80	10
76.72	10
67.90	9

Structural model:
abc: 7.7658 7.7658 9.0495
angles: 115.52 115.52 59.84
Fractional coordinates of all 16 atoms:
Tm 0.2317 0.2317 0.7113
Tm 0.2317 0.7480 0.7112
Tm 0.2520 0.7683 0.2888
Tm 0.2599 0.2599 0.2800
Tm 0.7401 0.7401 0.7200
Tm 0.7480 0.2317 0.7112
Tm 0.7683 0.2520 0.2888
Tm 0.7683 0.7683 0.2887
Tl 0.0000 0.0000 0.0000
Tl 0.0000 0.5000 0.0000
Tl 0.5000 0.0000 0.0000
Tl 0.5000 0.5000 0.0000
P 0.0000 0.0000 0.5000
Se 0.0000 0.5000 0.5000
Se 0.5000 0.0000 0.5000
Se 0.5000 0.5000 0.5000



# 2
Fe3Co5: calculated powder XRD pattern (Cu Kα), based on the PBE geometry in Alexandria.

Top 7 peaks for 2θ from 10° to 90°, by intensity:
two_theta	I/Imax
45.25	100
45.12	25
45.41	25
65.93	22
83.41	22
83.80	14
83.66	7

Structural model:
abc: 2.8347 3.9946 16.0742
angles: 90.00 90.00 90.00
Fractional coordinates of all 16 atoms:
Fe 0.0000 0.0000 0.0000
Fe 0.0000 0.0000 0.2474
Fe 0.0000 0.5000 0.3740
Fe 0.5000 0.0000 0.8740
Fe 0.5000 0.5000 0.5000
Fe 0.5000 0.5000 0.7474
Co 0.0000 0.0000 0.4995
Co 0.0000 0.0000 0.7497
Co 0.0000 0.5000 0.1237
Co 0.0000 0.5000 0.6240
Co 0.0000 0.5000 0.8725
Co 0.5000 0.0000 0.1240
Co 0.5000 0.0000 0.3725
Co 0.5000 0.0000 0.6237
Co 0.5000 0.5000 0.9995
Co 0.5000 0.5000 0.2497



# 3
Zr4PO: calculated powder XRD pattern (Cu Kα), based on the PBE geometry in Alexandria.

Top 10 peaks for 2θ from 10° to 90°, by intensity:
two_theta	I/Imax
33.72	100
31.40	38
35.22	28
54.87	21
57.40	20
45.00	19
43.79	14
67.82	11
70.90	10
51.70	9

Structural model:
abc: 6.7060 6.7060 6.7060
angles: 106.15 106.15 116.35
Fractional coordinates of all 12 atoms:
Zr 0.1960 0.0000 0.1960
Zr 0.2124 0.4975 0.2851
Zr 0.2124 0.9273 0.7149
Zr 0.2475 0.4624 0.7851
Zr 0.6773 0.4624 0.2149
Zr 0.7500 0.0540 0.3040
Zr 0.7500 0.4460 0.6960
Zr 0.8040 0.0000 0.8040
P 0.4686 0.9686 0.5000
P 0.7186 0.7186 0.0000
O 0.2434 0.2434 0.0000
O 0.9934 0.4934 0.5000



# 4
Pm6DyTh2: calculated powder XRD pattern (Cu Kα), based on the PBE geometry in Alexandria.

Top 10 peaks for 2θ from 10° to 90°, by intensity:
two_theta	I/Imax
33.12	100
31.54	66
29.81	52
28.55	47
59.81	44
50.57	39
41.75	32
56.07	32
30.27	21
61.79	17

Structural model:
abc: 3.6099 3.6099 26.9739
angles: 90.00 90.00 120.00
Fractional coordinates of all 9 atoms:
Pm 0.0000 0.0000 0.0633
Pm 0.0000 0.0000 0.2800
Pm 0.0000 0.0000 0.7200
Pm 0.0000 0.0000 0.9367
Pm 0.3333 0.6667 0.3926
Pm 0.3333 0.6667 0.6074
Dy 0.0000 0.0000 0.5000
Th 0.3333 0.6667 0.1705
Th 0.3333 0.6667 0.8295



# 5
Ce4Hg2B: calculated powder XRD pattern (Cu Kα), based on the PBE geometry in Alexandria.

Top 10 peaks for 2θ from 10° to 90°, by intensity:
two_theta	I/Imax
34.20	100
35.39	55
27.45	47
62.78	32
24.82	24
50.92	20
50.68	18
49.99	14
35.06	13
58.81	11

Structural model:
abc: 5.0725 5.0725 15.3547
angles: 90.00 90.00 90.00
Fractional coordinates of all 14 atoms:
Ce 0.0000 0.0000 0.1700
Ce 0.0000 0.0000 0.8300
Ce 0.0000 0.5000 0.0000
Ce 0.0000 0.5000 0.5000
Ce 0.5000 0.0000 0.0000
Ce 0.5000 0.0000 0.5000
Ce 0.5000 0.5000 0.3300
Ce 0.5000 0.5000 0.6700
Hg 0.0000 0.0000 0.3685
Hg 0.0000 0.0000 0.6315
Hg 0.5000 0.5000 0.1315
Hg 0.5000 0.5000 0.8685
B 0.0000 0.0000 0.0000
B 0.5000 0.5000 0.5000



# 6
Ac3CuGe2Au6: calculated powder XRD pattern (Cu Kα), based on the PBE geometry in Alexandria.

Top 10 peaks for 2θ from 10° to 90°, by intensity:
two_theta	I/Imax
33.31	100
38.58	76
33.06	29
55.87	29
55.54	23
66.47	23
46.23	18
10.88	17
21.87	15
27.09	13

Structural model:
abc: 6.5829 6.5829 8.1284
angles: 90.00 90.00 120.00
Fractional coordinates of all 12 atoms:
Ac 0.0000 0.0000 0.0000
Ac 0.3333 0.6667 0.6669
Ac 0.6667 0.3333 0.3331
Cu 0.0000 0.0000 0.5000
Ge 0.3333 0.6667 0.0711
Ge 0.6667 0.3333 0.9289
Au 0.1776 0.3552 0.3082
Au 0.1776 0.8224 0.3082
Au 0.3552 0.1776 0.6918
Au 0.6448 0.8224 0.3082
Au 0.8224 0.1776 0.6918
Au 0.8224 0.6448 0.6918



# 7
Nb2AlNi4: calculated powder XRD pattern (Cu Kα), based on the PBE geometry in Alexandria.

Top 10 peaks for 2θ from 10° to 90°, by intensity:
two_theta	I/Imax
43.31	100
45.23	83
38.27	64
39.52	59
44.18	45
44.37	44
21.11	39
25.22	20
45.00	20
42.98	19

Structural model:
abc: 4.7504 4.7505 4.9013
angles: 97.19 97.63 115.16
Fractional coordinates of all 7 atoms:
Nb 0.0778 0.0765 0.2741
Nb 0.9222 0.9235 0.7259
Al 0.5000 0.5000 0.0000
Ni 0.0000 0.5000 0.0000
Ni 0.3099 0.6892 0.5003
Ni 0.5000 0.0000 0.0000
Ni 0.6901 0.3108 0.4997



# 8
Pr2Zn12CdCu3: calculated powder XRD pattern (Cu Kα), based on the PBE geometry in Alexandria.

Top 10 peaks for 2θ from 10° to 90°, by intensity:
two_theta	I/Imax
25.49	100
41.71	70
45.86	69
30.60	56
52.32	56
41.33	34
40.23	32
36.18	30
32.96	29
23.77	28

Structural model:
abc: 8.7391 8.7391 8.7391
angles: 53.85 53.85 53.85
Fractional coordinates of all 18 atoms:
Pr 0.1088 0.1088 0.1088
Pr 0.8912 0.8912 0.8912
Zn 0.0140 0.6548 0.6548
Zn 0.1446 0.1446 0.6422
Zn 0.1446 0.6422 0.1446
Zn 0.3452 0.3452 0.9860
Zn 0.3452 0.9860 0.3452
Zn 0.3578 0.8554 0.8554
Zn 0.6422 0.1446 0.1446
Zn 0.6548 0.0140 0.6548
Zn 0.6548 0.6548 0.0140
Zn 0.8554 0.3578 0.8554
Zn 0.8554 0.8554 0.3578
Zn 0.9860 0.3452 0.3452
Cd 0.5000 0.5000 0.5000
Cu 0.0000 0.5000 0.5000
Cu 0.5000 0.0000 0.5000
Cu 0.5000 0.5000 0.0000



# 9
HoTm12Sc2: calculated powder XRD pattern (Cu Kα), based on the PBE geometry in Alexandria.

Top 10 peaks for 2θ from 10° to 90°, by intensity:
two_theta	I/Imax
31.68	100
52.86	18
53.03	18
36.59	17
36.75	17
36.90	17
62.82	14
63.03	14
66.18	12
63.25	7

Structural model:
abc: 26.1129 26.1129 3.4572
angles: 93.34 93.34 10.75
Fractional coordinates of all 15 atoms:
Ho 0.0000 0.0000 0.0000
Tm 0.0678 0.0678 0.0655
Tm 0.1994 0.1994 0.1995
Tm 0.2669 0.2669 0.2675
Tm 0.3341 0.3341 0.3316
Tm 0.3987 0.3987 0.4014
Tm 0.4660 0.4660 0.4674
Tm 0.5340 0.5340 0.5326
Tm 0.6013 0.6013 0.5986
Tm 0.6659 0.6659 0.6684
Tm 0.7331 0.7331 0.7325
Tm 0.8006 0.8006 0.8005
Tm 0.9322 0.9322 0.9345
Sc 0.1336 0.1336 0.1340
Sc 0.8664 0.8664 0.8660



# 10
PmU2RuC4: calculated powder XRD pattern (Cu Kα), based on the PBE geometry in Alexandria.

Top 10 peaks for 2θ from 10° to 90°, by intensity:
two_theta	I/Imax
30.34	100
37.58	72
27.52	59
30.82	55
41.52	26
30.49	25
52.34	23
34.93	23
47.04	22
35.07	21

Structural model:
abc: 6.0702 6.0702 11.7255
angles: 90.00 90.00 145.85
Fractional coordinates of all 16 atoms:
Pm 0.1057 0.8943 0.7500
Pm 0.8943 0.1057 0.2500
U 0.3708 0.6292 0.5482
U 0.3708 0.6292 0.9518
U 0.6292 0.3708 0.0482
U 0.6292 0.3708 0.4518
Ru 0.1564 0.8436 0.2500
Ru 0.8436 0.1564 0.7500
C 0.0000 0.0000 0.0000
C 0.0000 0.0000 0.5000
C 0.2572 0.7428 0.1122
C 0.2572 0.7428 0.3878
C 0.4382 0.5618 0.7500
C 0.5618 0.4382 0.2500
C 0.7428 0.2572 0.6122
C 0.7428 0.2572 0.8878



# 11
Ba4AsCl3: calculated powder XRD pattern (Cu Kα), based on the PBE geometry in Alexandria.

Top 10 peaks for 2θ from 10° to 90°, by intensity:
two_theta	I/Imax
27.22	100
38.90	50
23.39	21
23.65	20
47.82	14
38.50	13
48.38	13
39.17	12
70.76	12
63.47	11

Structural model:
abc: 9.2005 13.0780 4.6765
angles: 90.00 90.00 90.00
Fractional coordinates of all 16 atoms:
Ba 0.0000 0.2436 0.0000
Ba 0.0000 0.7564 0.0000
Ba 0.2393 0.0000 0.5000
Ba 0.2607 0.5000 0.5000
Ba 0.5000 0.2564 0.0000
Ba 0.5000 0.7436 0.0000
Ba 0.7393 0.5000 0.5000
Ba 0.7607 0.0000 0.5000
As 0.0000 0.0000 0.0000
As 0.5000 0.5000 0.0000
Cl 0.0000 0.5000 0.0000
Cl 0.2500 0.2500 0.5000
Cl 0.2500 0.7500 0.5000
Cl 0.5000 0.0000 0.0000
Cl 0.7500 0.2500 0.5000
Cl 0.7500 0.7500 0.5000



# 12
Ba3ErAs3: calculated powder XRD pattern (Cu Kα), based on the PBE geometry in Alexandria.

Top 10 peaks for 2θ from 10° to 90°, by intensity:
two_theta	I/Imax
24.48	100
28.98	88
36.58	76
30.83	65
30.11	62
23.92	55
29.77	51
38.97	38
12.53	34
22.03	31

Structural model:
abc: 9.5660 8.3427 13.3094
angles: 90.00 94.84 90.00
Fractional coordinates of all 28 atoms:
Ba 0.0812 0.1584 0.1343
Ba 0.0812 0.3416 0.6343
Ba 0.3321 0.7330 0.7963
Ba 0.3321 0.7670 0.2963
Ba 0.3956 0.2312 0.9237
Ba 0.3956 0.2688 0.4237
Ba 0.6044 0.7312 0.5763
Ba 0.6044 0.7688 0.0763
Ba 0.6679 0.2330 0.7037
Ba 0.6679 0.2670 0.2037
Ba 0.9188 0.6584 0.3657
Ba 0.9188 0.8416 0.8657
Er 0.1640 0.5930 0.0557
Er 0.1640 0.9070 0.5557
Er 0.8360 0.0930 0.4443
Er 0.8360 0.4070 0.9443
As 0.0987 0.0470 0.3685
As 0.0987 0.4530 0.8685
As 0.2626 0.6050 0.5177
As 0.2626 0.8950 0.0177
As 0.3654 0.0808 0.6668
As 0.3654 0.4192 0.1668
As 0.6346 0.5808 0.8332
As 0.6346 0.9192 0.3332
As 0.7374 0.1050 0.9823
As 0.7374 0.3950 0.4823
As 0.9013 0.5470 0.1315
As 0.9013 0.9530 0.6315